Starting from a PBE-relaxed structure, the X-ray powder pattern of Pm2MgS4 was calculated for CuKα.
Intensities are scaled so that the largest is 1000.

Peak list (10 most intense, 10 to 90 degrees two-theta, most intense first)
2θ (°), I_rel, (hkl)
23.1, 1000, 0 0 3
25.6, 714, 2 0 1
41.3, 546, 3 2 -1
23.6, 474, 1 2 -1
40.8, 448, 0 4 -1
40.7, 444, 3 -2 0
25.2, 423, -1 2 1
26.6, 406, 2 0 -2
24.0, 356, 1 2 0
23.7, 338, 1 -2 1

Structural model:
Cell lengths 7.6105, 8.8397, 11.8257 Å; angles 100.52, 96.59, 90.96 degrees
Space group P-1 (No. 2)
Asymmetric unit:
1 Pm 0.1328 0.4481 0.3365
2 Pm 0.1393 0.9696 0.3456
3 Pm 0.2528 0.1295 0.9976
4 Pm 0.3614 0.2933 0.6577
5 Mg 0.2493 0.6135 0.9940
6 Mg 0.3620 0.7931 0.6840
7 S 0.0974 0.4109 0.1066
8 S 0.1050 0.9098 0.1160
9 S 0.1979 0.5450 0.6030
10 S 0.2010 0.0070 0.6095
11 S 0.3027 0.7184 0.3781
12 S 0.3476 0.2264 0.3926
13 S 0.3864 0.8357 0.8916
14 S 0.3989 0.3567 0.8873

***

Starting from a PBE-relaxed structure, the X-ray powder pattern of Pm2MgS4 was calculated for CuKα.
Intensities are scaled so that the largest is 1000.

Peak list (10 most intense, 10 to 90 degrees two-theta, most intense first)
2θ (°), I_rel, (hkl)
37.3, 1000, 2 2 2
18.4, 919, 1 1 1
26.5, 645, 1 2 1
23.4, 542, 3 0 1
14.8, 528, 1 0 1
25.9, 488, 3 1 1
25.3, 481, 2 2 0
37.5, 415, 4 0 2
45.0, 382, 6 2 0
41.6, 275, 5 2 1

Structural model:
Cell lengths 13.8996, 8.1553, 6.6224 Å; angles 90.00, 90.00, 90.00 degrees
Space group Pnma (No. 62)
Asymmetric unit:
1 Pm 0.0000 0.0000 0.0000
2 Pm 0.2311 0.2500 0.4987
3 Mg 0.0932 0.7500 0.4222
4 S 0.0672 0.2500 0.7439
5 S 0.0923 0.7500 0.7858
6 S 0.1681 0.5154 0.2469

***

Starting from a PBE-relaxed structure, the X-ray powder pattern of Pm2MgS4 was calculated for CuKα.
Intensities are scaled so that the largest is 1000.

Peak list (10 most intense, 10 to 90 degrees two-theta, most intense first)
2θ (°), I_rel, (hkl)
25.8, 1000, 3 1 1
13.4, 979, 1 1 1
31.3, 918, 4 0 0
44.8, 832, 4 4 0
41.0, 411, 5 1 1
74.2, 287, 8 4 0
82.7, 275, 8 4 4
34.2, 271, 3 3 1
27.0, 268, 2 2 2
47.0, 257, 5 3 1

Structural model:
Cell lengths 11.4373, 11.4373, 11.4373 Å; angles 90.00, 90.00, 90.00 degrees
Space group Fd-3m (No. 227, origin choice 2)
Asymmetric unit:
1 Pm 0.0000 0.0000 0.0000
2 Mg 0.1250 0.1250 0.6250
3 S 0.0027 0.0027 0.2473

***

Starting from a PBE-relaxed structure, the X-ray powder pattern of Pm2MgS4 was calculated for CuKα.
Intensities are scaled so that the largest is 1000.

Peak list (10 most intense, 10 to 90 degrees two-theta, most intense first)
2θ (°), I_rel, (hkl)
35.6, 1000, 1 2 3
24.6, 990, 0 2 0
36.0, 771, 3 1 1
14.4, 744, 0 1 1
22.4, 628, 1 1 2
25.4, 553, 1 0 3
29.4, 465, 2 1 2
26.0, 443, 0 1 3
40.6, 339, 0 1 5
13.2, 333, 1 0 1

Structural model:
Cell lengths 8.1928, 7.2310, 11.6663 Å; angles 90.00, 90.00, 90.00 degrees
Space group Pnma (No. 62)
Asymmetric unit:
1 Pm 0.0294 0.2500 0.1872
2 Pm 0.0860 0.7500 0.4684
3 Mg 0.1902 0.7500 0.0855
4 S 0.0902 0.2500 0.9464
5 S 0.1416 0.5035 0.6549
6 S 0.2059 0.2500 0.3910

***

Starting from a PBE-relaxed structure, the X-ray powder pattern of Pm2MgS4 was calculated for CuKα.
Intensities are scaled so that the largest is 1000.

Peak list (10 most intense, 10 to 90 degrees two-theta, most intense first)
2θ (°), I_rel, (hkl)
24.8, 1000, 2 0 3
31.8, 792, 3 2 1
34.0, 608, 3 2 2
47.1, 597, 6 0 3
42.5, 481, 1 2 5
19.1, 377, 2 1 1
24.9, 340, 1 2 1
27.7, 306, 1 2 2
27.5, 282, 4 0 0
44.3, 281, 5 2 2

Structural model:
Cell lengths 12.9512, 7.7637, 12.9682 Å; angles 90.00, 90.00, 90.00 degrees
Space group Pca2_1 (No. 29)
Asymmetric unit:
1 Pm 0.1100 0.1153 0.0000
2 Pm 0.1275 0.6171 0.3577
3 Pm 0.1343 0.3706 0.6904
4 Pm 0.1352 0.8707 0.6916
5 Mg 0.1107 0.6153 0.9915
6 Mg 0.1258 0.1206 0.3640
7 S 0.0115 0.1195 0.8054
8 S 0.0235 0.6288 0.8168
9 S 0.0298 0.6197 0.5549
10 S 0.0448 0.1275 0.5447
11 S 0.2109 0.1205 0.1872
12 S 0.2111 0.6195 0.1609
13 S 0.2307 0.3685 0.9073
14 S 0.2334 0.8705 0.9090

***

Starting from a PBE-relaxed structure, the X-ray powder pattern of Pm2MgSe4 was calculated for CuKα.
Intensities are scaled so that the largest is 1000.

Peak list (10 most intense, 10 to 90 degrees two-theta, most intense first)
2θ (°), I_rel, (hkl)
30.4, 1000, 3 2 1
32.5, 682, 3 2 2
44.9, 486, 6 0 3
29.4, 437, 2 0 4
23.6, 428, 2 0 3
44.8, 398, 0 4 0
40.5, 385, 1 2 5
42.3, 258, 5 2 2
65.3, 224, 6 4 3
18.3, 191, 2 1 1

Structural model:
Cell lengths 13.5186, 8.0911, 13.6238 Å; angles 90.00, 90.00, 90.00 degrees
Space group Pca2_1 (No. 29)
Asymmetric unit:
1 Pm 0.1081 0.1165 0.0000
2 Pm 0.1274 0.6179 0.6414
3 Pm 0.1336 0.3715 0.3068
4 Pm 0.1345 0.8712 0.3078
5 Mg 0.1114 0.6171 0.0074
6 Mg 0.1264 0.1212 0.6349
7 Se 0.0107 0.1196 0.1944
8 Se 0.0234 0.6289 0.1822
9 Se 0.0309 0.6197 0.4436
10 Se 0.0451 0.1285 0.4537
11 Se 0.2099 0.1209 0.8134
12 Se 0.2104 0.6198 0.8374
13 Se 0.2305 0.3675 0.0932
14 Se 0.2324 0.8713 0.0912